No. 1
The following is a theoretical powder XRD pattern of K2CoS2O14. It was derived from the PBE+U geometry in the Materials Project, using a wavelength of 1.5418 Å.

Structure:
Lattice parameters (Å, degrees): 6.097 11.920 8.525 90.00 103.68 90.00
Space group P2_1/c (No. 14)
Symmetry-distinct sites (fractional):
K 0.150 0.156 0.367 (multiplicity 4)
Co 0.500 0.000 0.000 (multiplicity 2)
S 0.246 0.643 0.903 (multiplicity 4)
O 0.088 0.738 0.904 (multiplicity 4)
O 0.137 0.566 0.766 (multiplicity 4)
O 0.223 0.549 0.505 (multiplicity 4)
O 0.279 0.576 0.054 (multiplicity 4)
O 0.333 0.098 0.866 (multiplicity 4)
O 0.430 0.102 0.133 (multiplicity 4)
O 0.465 0.684 0.879 (multiplicity 4)

Most intense lines, 15° ≤ 2θ ≤ 90°, sorted by position:
(hkl), d [Å], I (rel.)
1 2 0, 4.202, 28
0 0 2, 4.142, 23
1 1 1, 4.091, 81
1 0 -2, 3.848, 77
0 3 1, 3.583, 100
1 3 -1, 3.215, 24
2 1 -1, 2.933, 42
1 2 2, 2.731, 32
2 2 -1, 2.695, 29
1 3 -3, 2.270, 28

=====

No. 2
The following is a theoretical powder XRD pattern of K2V2CoO7. It was derived from the PBE+U geometry in the Materials Project, using a wavelength of 1.5418 Å.

Structure:
Lattice parameters (Å, degrees): 8.586 8.586 5.713 90.00 90.00 90.00
Space group P-42_1m (No. 113)
Symmetry-distinct sites (fractional):
K 0.162 0.338 0.491 (multiplicity 4)
V 0.142 0.642 0.950 (multiplicity 4)
Co 0.000 0.000 0.000 (multiplicity 2)
O 0.000 0.500 0.843 (multiplicity 2)
O 0.089 0.822 0.831 (multiplicity 8)
O 0.145 0.645 0.244 (multiplicity 4)

Most intense lines, 15° ≤ 2θ ≤ 90°, sorted by position:
(hkl), d [Å], I (rel.)
0 0 1, 5.713, 39
1 1 1, 4.161, 16
2 1 0, 3.840, 12
2 0 1, 3.432, 21
2 1 1, 3.187, 100
0 0 2, 2.856, 10
3 1 0, 2.714, 35
3 1 2, 1.968, 28
4 2 0, 1.920, 10
5 2 1, 1.536, 13